# PRuS
Computed powder diffractogram, copper Kα. Input: a GGA-PBE-relaxed structure.
Peak positions follow from Bragg's law for the DFT cell and can differ from measured ones.

The 10 most intense peaks (2θ = 10–90°), sorted by position:
two_theta  Rel. int.  index
24.15  100  1 1 -1
30.85  43  0 2 0
32.77  42  0 0 2
33.17  49  2 0 0
36.28  22  1 2 -1
45.93  25  2 2 0
49.42  42  1 1 -3
49.95  33  3 1 -1
50.98  26  1 3 -1
55.06  26  1 3 1

Cell and atoms:
Unit cell a=5.773 b=5.798 c=5.841 alpha=90.00 beta=110.66 gamma=90.00
Sites, in units of the cell vectors:
P: 0.151 0.122 0.373
P: 0.151 0.378 0.873
P: 0.849 0.622 0.127
P: 0.849 0.878 0.627
Ru: 0.274 0.003 0.793
Ru: 0.274 0.497 0.293
Ru: 0.726 0.503 0.707
Ru: 0.726 0.997 0.207
S: 0.335 0.622 0.691
S: 0.335 0.878 0.191
S: 0.665 0.122 0.809
S: 0.665 0.378 0.309


# Sc2P7Ru12
Computed powder diffractogram, copper Kα. Input: a GGA-PBE-relaxed structure.
Peak positions follow from Bragg's law for the DFT cell and can differ from measured ones.

The 10 most intense peaks (2θ = 10–90°), sorted by position:
two_theta  Rel. int.  index
10.91  15  1 0 0
18.96  11  1 1 0
29.14  11  1 2 0
37.25  100  1 2 1
40.55  12  3 0 1
46.35  22  0 0 2
46.57  25  3 1 1
48.97  14  2 3 0
51.66  18  4 1 0
71.91  13  4 1 2

Cell and atoms:
Unit cell a=9.362 b=9.362 c=3.918 alpha=90.00 beta=90.00 gamma=120.00
Sites, in units of the cell vectors:
Sc: 0.000 0.000 0.000
Sc: 0.333 0.667 0.500
P: 0.094 0.643 0.000
P: 0.264 0.051 0.500
P: 0.357 0.451 0.000
P: 0.549 0.906 0.000
P: 0.667 0.333 0.000
P: 0.787 0.736 0.500
P: 0.949 0.213 0.500
Ru: 0.060 0.780 0.500
Ru: 0.094 0.402 0.000
Ru: 0.220 0.280 0.500
Ru: 0.308 0.906 0.000
Ru: 0.393 0.224 0.000
Ru: 0.544 0.124 0.500
Ru: 0.580 0.456 0.500
Ru: 0.598 0.692 0.000
Ru: 0.720 0.940 0.500
Ru: 0.776 0.169 0.000
Ru: 0.831 0.607 0.000
Ru: 0.876 0.420 0.500


# ScPRu
Computed powder diffractogram, copper Kα. Input: a GGA-PBE-relaxed structure.
Peak positions follow from Bragg's law for the DFT cell and can differ from measured ones.

The 10 most intense peaks (2θ = 10–90°), sorted by position:
two_theta  Rel. int.  index
15.58  33  1 0 0
24.44  25  0 0 1
27.16  21  1 1 0
36.86  100  1 1 1
40.24  57  2 0 1
42.04  75  2 1 0
49.23  51  2 1 1
50.10  23  0 0 2
67.40  35  2 1 2
77.76  24  3 2 1

Cell and atoms:
Unit cell a=6.566 b=6.566 c=3.642 alpha=90.00 beta=90.00 gamma=120.00
Sites, in units of the cell vectors:
Sc: 0.000 0.590 0.000
Sc: 0.410 0.410 0.000
Sc: 0.590 0.000 0.000
P: 0.000 0.000 0.000
P: 0.333 0.667 0.500
P: 0.667 0.333 0.500
Ru: 0.000 0.244 0.500
Ru: 0.244 0.000 0.500
Ru: 0.756 0.756 0.500


# PRuSe
Computed powder diffractogram, copper Kα. Input: a GGA-PBE-relaxed structure.
Peak positions follow from Bragg's law for the DFT cell and can differ from measured ones.

The 10 most intense peaks (2θ = 10–90°), sorted by position:
two_theta  Rel. int.  index
23.23  86  1 1 -1
29.88  57  0 2 0
31.89  100  0 0 2
32.38  97  2 0 0
34.99  58  1 2 -1
44.64  36  2 2 0
47.53  60  1 1 -3
48.28  57  3 1 -1
49.22  50  1 3 -1
53.45  61  1 3 1

Cell and atoms:
Unit cell a=5.967 b=5.981 c=6.056 alpha=90.00 beta=112.08 gamma=90.00
Sites, in units of the cell vectors:
P: 0.144 0.129 0.381
P: 0.144 0.371 0.881
P: 0.856 0.629 0.119
P: 0.856 0.871 0.619
Ru: 0.264 0.011 0.790
Ru: 0.264 0.489 0.290
Ru: 0.736 0.511 0.710
Ru: 0.736 0.989 0.210
Se: 0.334 0.625 0.693
Se: 0.334 0.875 0.193
Se: 0.666 0.125 0.807
Se: 0.666 0.375 0.307